# 1
NaGaSnP2SO12: computed XRD peak list (Cu Kα (λ = 1.5418 Å)), based on a structure optimized by DFT (PBE).

Structural model:
```
data_NaGaSnP2SO12
_chemical_formula_sum 'Na2 Ga2 Sn2 P4 S2 O24'
_cell_length_a 8.614
_cell_length_b 8.614
_cell_length_c 9.031
_cell_angle_alpha 118.54
_cell_angle_beta 118.54
_cell_angle_gamma 60.06
_symmetry_space_group_name_H-M 'P 1'
_symmetry_Int_Tables_number 1
_symmetry_space_group_name_Hall 'P 1'
loop_
_atom_site_label
_atom_site_type_symbol
_atom_site_fract_x
_atom_site_fract_y
_atom_site_fract_z
Na1 Na 0.244 0.756 0.500
Na2 Na 0.756 0.244 0.000
Ga1 Ga 0.080 0.615 0.065
Ga2 Ga 0.615 0.080 0.565
Sn1 Sn 0.395 0.900 0.952
Sn2 Sn 0.900 0.395 0.452
P1 P 0.214 0.995 0.261
P2 P 0.709 0.793 0.759
P3 P 0.793 0.709 0.259
P4 P 0.995 0.214 0.761
S1 S 0.296 0.495 0.762
S2 S 0.495 0.296 0.262
O1 O 0.026 0.382 0.927
O2 O 0.028 0.170 0.274
O3 O 0.131 0.480 0.596
O4 O 0.170 0.028 0.774
O5 O 0.190 0.817 0.236
O6 O 0.228 0.981 0.090
O7 O 0.266 0.521 0.920
O8 O 0.315 0.664 0.773
O9 O 0.330 0.466 0.238
O10 O 0.382 0.026 0.427
O11 O 0.466 0.330 0.738
O12 O 0.480 0.131 0.096
O13 O 0.521 0.266 0.420
O14 O 0.527 0.815 0.775
O15 O 0.622 0.728 0.088
O16 O 0.664 0.315 0.273
O17 O 0.682 0.975 0.741
O18 O 0.728 0.622 0.588
O19 O 0.767 0.881 0.424
O20 O 0.815 0.527 0.275
O21 O 0.817 0.190 0.736
O22 O 0.881 0.767 0.924
O23 O 0.975 0.682 0.241
O24 O 0.981 0.228 0.590
```

Peak list (10 most intense, 2θ from 10° to 90°, most intense first)
2θ (°)  Rel. int.
20.62  100
31.55  100
23.79  89
19.71  80
28.67  59
14.22  44
36.11  43
48.70  37
56.51  27
51.85  27


# 2
PrBrO: computed XRD peak list (Cu Kα (λ = 1.5418 Å)), based on a structure optimized by DFT (PBE).

Structural model:
```
data_PrBrO
_chemical_formula_sum 'Pr2 Br2 O2'
_cell_length_a 10.516
_cell_length_b 10.516
_cell_length_c 10.516
_cell_angle_alpha 22.34
_cell_angle_beta 22.34
_cell_angle_gamma 22.34
_symmetry_space_group_name_H-M 'P 1'
_symmetry_Int_Tables_number 1
_symmetry_space_group_name_Hall 'P 1'
loop_
_atom_site_label
_atom_site_type_symbol
_atom_site_fract_x
_atom_site_fract_y
_atom_site_fract_z
Pr1 Pr 0.216 0.216 0.216
Pr2 Pr 0.784 0.784 0.784
Br1 Br 0.387 0.387 0.387
Br2 Br 0.613 0.613 0.613
O1 O 0.138 0.138 0.138
O2 O 0.862 0.862 0.862
```

Peak list (10 most intense, 2θ from 10° to 90°, most intense first)
2θ (°)  Rel. int.
29.18  100
25.91  51
44.48  48
32.55  43
57.82  25
38.85  18
35.02  18
54.08  18
72.53  15
41.20  14


# 3
Bi4Te7Pb: computed XRD peak list (Cu Kα (λ = 1.5418 Å)), based on a structure optimized by DFT (PBE).

Structural model:
```
data_Bi4Te7Pb
_chemical_formula_sum 'Bi4 Te7 Pb1'
_cell_length_a 4.475
_cell_length_b 4.475
_cell_length_c 24.664
_cell_angle_alpha 90.00
_cell_angle_beta 90.00
_cell_angle_gamma 120.00
_symmetry_space_group_name_H-M 'P 1'
_symmetry_Int_Tables_number 1
_symmetry_space_group_name_Hall 'P 1'
loop_
_atom_site_label
_atom_site_type_symbol
_atom_site_fract_x
_atom_site_fract_y
_atom_site_fract_z
Bi1 Bi 0.333 0.667 0.082
Bi2 Bi 0.333 0.667 0.336
Bi3 Bi 0.667 0.333 0.664
Bi4 Bi 0.667 0.333 0.918
Te1 Te 0.000 0.000 0.000
Te2 Te 0.000 0.000 0.267
Te3 Te 0.000 0.000 0.733
Te4 Te 0.333 0.667 0.581
Te5 Te 0.333 0.667 0.849
Te6 Te 0.667 0.333 0.151
Te7 Te 0.667 0.333 0.419
Pb1 Pb 0.000 0.000 0.500
```

Peak list (10 most intense, 2θ from 10° to 90°, most intense first)
2θ (°)  Rel. int.
27.18  100
40.31  42
37.27  39
49.30  20
65.50  17
61.24  15
56.06  12
71.28  12
73.28  10
17.98  7


# 4
TiAl2: computed XRD peak list (Cu Kα (λ = 1.5418 Å)), based on a structure optimized by DFT (PBE).

Structural model:
```
data_TiAl2
_chemical_formula_sum 'Ti4 Al8'
_cell_length_a 12.462
_cell_length_b 12.462
_cell_length_c 12.462
_cell_angle_alpha 161.67
_cell_angle_beta 161.67
_cell_angle_gamma 26.03
_symmetry_space_group_name_H-M 'P 1'
_symmetry_Int_Tables_number 1
_symmetry_space_group_name_Hall 'P 1'
loop_
_atom_site_label
_atom_site_type_symbol
_atom_site_fract_x
_atom_site_fract_y
_atom_site_fract_z
Ti1 Ti 0.297 0.547 0.750
Ti2 Ti 0.453 0.703 0.750
Ti3 Ti 0.547 0.297 0.250
Ti4 Ti 0.703 0.453 0.250
Al1 Al 0.038 0.788 0.250
Al2 Al 0.125 0.375 0.750
Al3 Al 0.212 0.962 0.250
Al4 Al 0.375 0.125 0.250
Al5 Al 0.625 0.875 0.750
Al6 Al 0.788 0.038 0.750
Al7 Al 0.875 0.625 0.250
Al8 Al 0.962 0.212 0.750
```

Peak list (10 most intense, 2θ from 10° to 90°, most intense first)
2θ (°)  Rel. int.
39.06  100
45.72  32
80.05  22
65.93  18
44.78  15
78.69  10
66.65  10
83.91  9
22.70  8
34.33  4


# 5
SiN3F7: computed XRD peak list (Cu Kα (λ = 1.5418 Å)), based on a structure optimized by DFT (PBE).

Structural model:
```
data_SiN3F7
_chemical_formula_sum 'Si2 N6 F14'
_cell_length_a 8.491
_cell_length_b 8.491
_cell_length_c 4.278
_cell_angle_alpha 90.00
_cell_angle_beta 90.00
_cell_angle_gamma 90.00
_symmetry_space_group_name_H-M 'P 1'
_symmetry_Int_Tables_number 1
_symmetry_space_group_name_Hall 'P 1'
loop_
_atom_site_label
_atom_site_type_symbol
_atom_site_fract_x
_atom_site_fract_y
_atom_site_fract_z
Si1 Si 0.000 0.500 0.000
Si2 Si 0.500 0.000 0.000
N1 N 0.000 0.000 0.000
N2 N 0.186 0.314 0.500
N3 N 0.314 0.814 0.500
N4 N 0.500 0.500 0.000
N5 N 0.686 0.186 0.500
N6 N 0.814 0.686 0.500
F1 F 0.000 0.000 0.500
F2 F 0.104 0.604 0.254
F3 F 0.104 0.604 0.746
F4 F 0.155 0.345 0.000
F5 F 0.345 0.845 0.000
F6 F 0.396 0.104 0.254
F7 F 0.396 0.104 0.746
F8 F 0.500 0.500 0.500
F9 F 0.604 0.896 0.254
F10 F 0.604 0.896 0.746
F11 F 0.655 0.155 0.000
F12 F 0.845 0.655 0.000
F13 F 0.896 0.396 0.254
F14 F 0.896 0.396 0.746
```

Peak list (10 most intense, 2θ from 10° to 90°, most intense first)
2θ (°)  Rel. int.
14.75  100
29.76  33
48.86  30
20.92  28
33.37  23
25.57  23
38.21  20
43.96  14
65.76  10
58.27  9


# 6
KAs: computed XRD peak list (Cu Kα (λ = 1.5418 Å)), based on a structure optimized by DFT (PBE).

Structural model:
```
data_KAs
_chemical_formula_sum 'K4 As4'
_cell_length_a 4.753
_cell_length_b 7.894
_cell_length_c 8.561
_cell_angle_alpha 90.00
_cell_angle_beta 90.00
_cell_angle_gamma 90.00
_symmetry_space_group_name_H-M 'P 1'
_symmetry_Int_Tables_number 1
_symmetry_space_group_name_Hall 'P 1'
loop_
_atom_site_label
_atom_site_type_symbol
_atom_site_fract_x
_atom_site_fract_y
_atom_site_fract_z
K1 K 0.195 0.250 0.000
K2 K 0.195 0.250 0.500
K3 K 0.805 0.750 0.000
K4 K 0.805 0.750 0.500
As1 As 0.307 0.588 0.250
As2 As 0.307 0.912 0.750
As3 As 0.693 0.088 0.250
As4 As 0.693 0.412 0.750
```

Peak list (10 most intense, 2θ from 10° to 90°, most intense first)
2θ (°)  Rel. int.
24.21  100
30.30  87
24.84  59
39.13  44
30.82  41
38.53  29
58.92  25
42.23  20
38.95  18
37.86  16


# 7
Dy3Ga2: computed XRD peak list (Cu Kα (λ = 1.5418 Å)), based on a structure optimized by DFT (PBE).

Structural model:
```
data_Dy3Ga2
_chemical_formula_sum 'Dy24 Ga16'
_cell_length_a 11.116
_cell_length_b 11.116
_cell_length_c 11.116
_cell_angle_alpha 116.87
_cell_angle_beta 116.87
_cell_angle_gamma 95.52
_symmetry_space_group_name_H-M 'P 1'
_symmetry_Int_Tables_number 1
_symmetry_space_group_name_Hall 'P 1'
loop_
_atom_site_label
_atom_site_type_symbol
_atom_site_fract_x
_atom_site_fract_y
_atom_site_fract_z
Dy1 Dy 0.067 0.931 0.271
Dy2 Dy 0.069 0.339 0.136
Dy3 Dy 0.147 0.647 0.500
Dy4 Dy 0.161 0.431 0.864
Dy5 Dy 0.168 0.332 0.500
Dy6 Dy 0.204 0.933 0.864
Dy7 Dy 0.296 0.161 0.729
Dy8 Dy 0.332 0.832 0.163
Dy9 Dy 0.339 0.204 0.271
Dy10 Dy 0.353 0.853 0.500
Dy11 Dy 0.431 0.567 0.271
Dy12 Dy 0.433 0.704 0.864
Dy13 Dy 0.567 0.296 0.136
Dy14 Dy 0.569 0.433 0.729
Dy15 Dy 0.647 0.147 0.500
Dy16 Dy 0.661 0.796 0.729
Dy17 Dy 0.668 0.168 0.837
Dy18 Dy 0.704 0.839 0.271
Dy19 Dy 0.796 0.067 0.136
Dy20 Dy 0.832 0.668 0.500
Dy21 Dy 0.839 0.569 0.136
Dy22 Dy 0.853 0.353 0.500
Dy23 Dy 0.931 0.661 0.864
Dy24 Dy 0.933 0.069 0.729
Ga1 Ga 0.000 0.000 0.000
Ga2 Ga 0.023 0.878 0.500
Ga3 Ga 0.117 0.617 0.734
Ga4 Ga 0.122 0.622 0.145
Ga5 Ga 0.250 0.250 0.000
Ga6 Ga 0.378 0.523 0.500
Ga7 Ga 0.383 0.117 0.500
Ga8 Ga 0.477 0.977 0.855
Ga9 Ga 0.500 0.500 0.000
Ga10 Ga 0.523 0.023 0.145
Ga11 Ga 0.617 0.883 0.500
Ga12 Ga 0.622 0.477 0.500
Ga13 Ga 0.750 0.750 0.000
Ga14 Ga 0.878 0.378 0.855
Ga15 Ga 0.883 0.383 0.266
Ga16 Ga 0.977 0.122 0.500
```

Peak list (10 most intense, 2θ from 10° to 90°, most intense first)
2θ (°)  Rel. int.
32.29  100
34.20  94
33.06  41
36.59  30
32.64  29
34.46  26
61.57  19
34.60  18
53.84  18
55.86  18


What did the second record say?
PrBrO: computed XRD peak list (Cu Kα (λ = 1.5418 Å)), based on a structure optimized by DFT (PBE).

Structural model:
```
data_PrBrO
_chemical_formula_sum 'Pr2 Br2 O2'
_cell_length_a 10.516
_cell_length_b 10.516
_cell_length_c 10.516
_cell_angle_alpha 22.34
_cell_angle_beta 22.34
_cell_angle_gamma 22.34
_symmetry_space_group_name_H-M 'P 1'
_symmetry_Int_Tables_number 1
_symmetry_space_group_name_Hall 'P 1'
loop_
_atom_site_label
_atom_site_type_symbol
_atom_site_fract_x
_atom_site_fract_y
_atom_site_fract_z
Pr1 Pr 0.216 0.216 0.216
Pr2 Pr 0.784 0.784 0.784
Br1 Br 0.387 0.387 0.387
Br2 Br 0.613 0.613 0.613
O1 O 0.138 0.138 0.138
O2 O 0.862 0.862 0.862
```

Peak list (10 most intense, 2θ from 10° to 90°, most intense first)
2θ (°)  Rel. int.
29.18  100
25.91  51
44.48  48
32.55  43
57.82  25
38.85  18
35.02  18
54.08  18
72.53  15
41.20  14


What did the first record say?
NaGaSnP2SO12: computed XRD peak list (Cu Kα (λ = 1.5418 Å)), based on a structure optimized by DFT (PBE).

Structural model:
```
data_NaGaSnP2SO12
_chemical_formula_sum 'Na2 Ga2 Sn2 P4 S2 O24'
_cell_length_a 8.614
_cell_length_b 8.614
_cell_length_c 9.031
_cell_angle_alpha 118.54
_cell_angle_beta 118.54
_cell_angle_gamma 60.06
_symmetry_space_group_name_H-M 'P 1'
_symmetry_Int_Tables_number 1
_symmetry_space_group_name_Hall 'P 1'
loop_
_atom_site_label
_atom_site_type_symbol
_atom_site_fract_x
_atom_site_fract_y
_atom_site_fract_z
Na1 Na 0.244 0.756 0.500
Na2 Na 0.756 0.244 0.000
Ga1 Ga 0.080 0.615 0.065
Ga2 Ga 0.615 0.080 0.565
Sn1 Sn 0.395 0.900 0.952
Sn2 Sn 0.900 0.395 0.452
P1 P 0.214 0.995 0.261
P2 P 0.709 0.793 0.759
P3 P 0.793 0.709 0.259
P4 P 0.995 0.214 0.761
S1 S 0.296 0.495 0.762
S2 S 0.495 0.296 0.262
O1 O 0.026 0.382 0.927
O2 O 0.028 0.170 0.274
O3 O 0.131 0.480 0.596
O4 O 0.170 0.028 0.774
O5 O 0.190 0.817 0.236
O6 O 0.228 0.981 0.090
O7 O 0.266 0.521 0.920
O8 O 0.315 0.664 0.773
O9 O 0.330 0.466 0.238
O10 O 0.382 0.026 0.427
O11 O 0.466 0.330 0.738
O12 O 0.480 0.131 0.096
O13 O 0.521 0.266 0.420
O14 O 0.527 0.815 0.775
O15 O 0.622 0.728 0.088
O16 O 0.664 0.315 0.273
O17 O 0.682 0.975 0.741
O18 O 0.728 0.622 0.588
O19 O 0.767 0.881 0.424
O20 O 0.815 0.527 0.275
O21 O 0.817 0.190 0.736
O22 O 0.881 0.767 0.924
O23 O 0.975 0.682 0.241
O24 O 0.981 0.228 0.590
```

Peak list (10 most intense, 2θ from 10° to 90°, most intense first)
2θ (°)  Rel. int.
20.62  100
31.55  100
23.79  89
19.71  80
28.67  59
14.22  44
36.11  43
48.70  37
56.51  27
51.85  27